This entry pairs a crystal structure of GdH9C5N2O8 with its computed PXRD pattern. Radiation: λ = 1.5418 Å (Cu Kα). Structure: DFT lattice parameters and positions (GGA-PBE).

abc: 6.662 6.662 6.528
angles: 107.22 107.22 64.00
Sites, in units of the cell vectors:
Gd 0.000 0.000 0.000
H 0.160 0.465 0.125
H 0.245 0.495 0.528
H 0.350 0.200 0.399
H 0.505 0.755 0.472
H 0.527 0.448 0.823
H 0.535 0.840 0.875
H 0.552 0.473 0.177
H 0.800 0.650 0.601
H 0.916 0.084 0.500
C 0.054 0.467 0.958
C 0.072 0.928 0.500
C 0.523 0.293 0.702
C 0.533 0.946 0.042
C 0.707 0.477 0.298
N 0.358 0.330 0.530
N 0.670 0.642 0.470
O 0.012 0.632 0.871
O 0.152 0.837 0.668
O 0.163 0.848 0.332
O 0.368 0.988 0.129
O 0.668 0.099 0.731
O 0.690 0.019 0.133
O 0.901 0.332 0.269
O 0.981 0.310 0.867

Top 10 peaks for 10° ≤ 2θ ≤ 90°, sorted by position:
6.117 Å, I 43
5.874 Å, I 100
5.294 Å, I 30
4.948 Å, I 25
4.718 Å, I 50
3.878 Å, I 41
3.157 Å, I 29
2.937 Å, I 22
2.648 Å, I 22
2.469 Å, I 27